1.
Diffraction record for Eu2N. The X-ray powder pattern is computed, not measured: it uses a structure optimized by DFT (GGA-PBE) and Cu Kα (weighted mean of Kα1 and Kα2).
Intensities are scaled so that the largest is 100.

Principal peaks in the range 2θ from 10° to 90°, by intensity:
- 2.806 Å, rel. 100
- 2.824 Å, rel. 51
- 3.157 Å, rel. 44
- 1.818 Å, rel. 31
- 1.575 Å, rel. 18
- 1.532 Å, rel. 18
- 3.132 Å, rel. 16
- 1.520 Å, rel. 16
- 1.167 Å, rel. 15
- 2.223 Å, rel. 13
- 2.233 Å, rel. 13
- 1.747 Å, rel. 12

Cell and atoms:
abc: 6.3146 6.3146 3.6063
angles: 90.00 90.00 90.00
Atoms (fractional coordinates):
Eu1 0.1924 0.1924 0.0000
Eu2 0.3076 0.6924 0.5000
Eu3 0.6924 0.3076 0.5000
Eu4 0.8076 0.8076 0.0000
N1 0.0000 0.0000 0.5000
N2 0.5000 0.5000 0.0000

=====

2.
Diffraction record for EuN2. The X-ray powder pattern is computed, not measured: it uses a structure optimized by DFT (GGA-PBE) and Cu Kα (weighted mean of Kα1 and Kα2).
Intensities are scaled so that the largest is 100.

Principal peaks in the range 2θ from 10° to 90°, by intensity:
- 4.238 Å, rel. 100
- 2.824 Å, rel. 47
- 2.984 Å, rel. 46
- 1.805 Å, rel. 31
- 1.999 Å, rel. 26
- 2.267 Å, rel. 24
- 2.110 Å, rel. 19
- 1.689 Å, rel. 15
- 1.545 Å, rel. 13
- 1.394 Å, rel. 12
- 1.412 Å, rel. 11
- 1.163 Å, rel. 9

Cell and atoms:
abc: 4.5346 4.5346 11.9179
angles: 90.00 90.00 90.00
Atoms (fractional coordinates):
Eu1 0.0000 0.2500 0.3750
Eu2 0.0000 0.7500 0.6250
Eu3 0.5000 0.2500 0.1250
Eu4 0.5000 0.7500 0.8750
N1 0.0000 0.2500 0.1779
N2 0.0000 0.2500 0.5721
N3 0.0000 0.7500 0.4279
N4 0.0000 0.7500 0.8221
N5 0.5000 0.2500 0.3221
N6 0.5000 0.2500 0.9279
N7 0.5000 0.7500 0.0721
N8 0.5000 0.7500 0.6779

=====

3.
Diffraction record for Eu2SiN3. The X-ray powder pattern is computed, not measured: it uses a structure optimized by DFT (GGA-PBE) and Cu Kα (weighted mean of Kα1 and Kα2).
Intensities are scaled so that the largest is 100.

Principal peaks in the range 2θ from 10° to 90°, by intensity:
- 2.663 Å, rel. 100
- 2.741 Å, rel. 90
- 2.897 Å, rel. 89
- 3.750 Å, rel. 72
- 3.051 Å, rel. 63
- 2.148 Å, rel. 36
- 2.932 Å, rel. 35
- 2.608 Å, rel. 33
- 1.691 Å, rel. 31
- 2.002 Å, rel. 30
- 1.584 Å, rel. 29
- 2.513 Å, rel. 25

Cell and atoms:
abc: 6.0116 6.0116 11.7260
angles: 90.00 90.00 125.74
Atoms (fractional coordinates):
Eu1 0.0523 0.9477 0.8566
Eu2 0.1415 0.8585 0.4236
Eu3 0.3585 0.6415 0.9236
Eu4 0.4477 0.5523 0.3566
Eu5 0.5523 0.4477 0.6434
Eu6 0.6415 0.3585 0.0764
Eu7 0.8585 0.1415 0.5764
Eu8 0.9477 0.0523 0.1434
Si1 0.2403 0.7597 0.6646
Si2 0.2597 0.7403 0.1646
Si3 0.7403 0.2597 0.8354
Si4 0.7597 0.2403 0.3354
N1 0.0247 0.4753 0.7500
N2 0.0782 0.9218 0.6333
N3 0.1584 0.8416 0.0465
N4 0.3416 0.6584 0.5465
N5 0.4218 0.5782 0.1333
N6 0.4753 0.0247 0.2500
N7 0.5247 0.9753 0.7500
N8 0.5782 0.4218 0.8667
N9 0.6584 0.3416 0.4535
N10 0.8416 0.1584 0.9535
N11 0.9218 0.0782 0.3667
N12 0.9753 0.5247 0.2500

=====

4.
Diffraction record for EuYSi4N7. The X-ray powder pattern is computed, not measured: it uses a structure optimized by DFT (GGA-PBE) and Cu Kα (weighted mean of Kα1 and Kα2).
Intensities are scaled so that the largest is 100.

Principal peaks in the range 2θ from 10° to 90°, by intensity:
- 2.789 Å, rel. 100
- 2.579 Å, rel. 75
- 3.023 Å, rel. 67
- 2.531 Å, rel. 58
- 1.697 Å, rel. 38
- 1.512 Å, rel. 27
- 1.578 Å, rel. 27
- 4.627 Å, rel. 26
- 1.646 Å, rel. 24
- 5.236 Å, rel. 21
- 2.050 Å, rel. 21
- 1.329 Å, rel. 20

Cell and atoms:
abc: 6.0465 6.0465 9.8839
angles: 90.00 90.00 120.00
Atoms (fractional coordinates):
Eu1 0.3333 0.6667 0.0000
Eu2 0.6667 0.3333 0.5000
Y1 0.3333 0.6667 0.3653
Y2 0.6667 0.3333 0.8653
Si1 0.0000 0.0000 0.4410
Si2 0.0000 0.0000 0.9410
Si3 0.1736 0.3472 0.6741
Si4 0.1736 0.8264 0.6741
Si5 0.3472 0.1736 0.1741
Si6 0.6528 0.8264 0.6741
Si7 0.8264 0.1736 0.1741
Si8 0.8264 0.6528 0.1741
N1 0.0000 0.0000 0.2506
N2 0.0000 0.0000 0.7506
N3 0.0219 0.5110 0.7251
N4 0.1530 0.3059 0.5014
N5 0.1530 0.8470 0.5014
N6 0.3059 0.1530 0.0014
N7 0.4890 0.5110 0.7251
N8 0.4890 0.9781 0.7251
N9 0.5110 0.0219 0.2251
N10 0.5110 0.4890 0.2251
N11 0.6941 0.8470 0.5014
N12 0.8470 0.1530 0.0014
N13 0.8470 0.6941 0.0014
N14 0.9781 0.4890 0.2251

=====

5.
Diffraction record for NaEu3. The X-ray powder pattern is computed, not measured: it uses a structure optimized by DFT (GGA-PBE) and Cu Kα (weighted mean of Kα1 and Kα2).
Intensities are scaled so that the largest is 100.

Principal peaks in the range 2θ from 10° to 90°, by intensity:
- 3.240 Å, rel. 100
- 2.734 Å, rel. 32
- 1.660 Å, rel. 28
- 2.011 Å, rel. 26
- 2.969 Å, rel. 20
- 4.966 Å, rel. 19
- 1.762 Å, rel. 17
- 1.620 Å, rel. 14
- 1.302 Å, rel. 13
- 1.933 Å, rel. 12
- 1.130 Å, rel. 9
- 5.939 Å, rel. 7

Cell and atoms:
abc: 5.4673 5.4673 11.8776
angles: 90.00 90.00 90.00
Atoms (fractional coordinates):
Na1 0.0000 0.0000 0.0000
Na2 0.5000 0.5000 0.5000
Eu1 0.0000 0.0000 0.5000
Eu2 0.0000 0.5000 0.2500
Eu3 0.0000 0.5000 0.7500
Eu4 0.5000 0.0000 0.2500
Eu5 0.5000 0.0000 0.7500
Eu6 0.5000 0.5000 0.0000

=====

6.
Diffraction record for NaEuNb2O6. The X-ray powder pattern is computed, not measured: it uses a structure optimized by DFT (GGA-PBE) and Cu Kα (weighted mean of Kα1 and Kα2).
Intensities are scaled so that the largest is 100.

Principal peaks in the range 2θ from 10° to 90°, by intensity:
- 2.866 Å, rel. 100
- 1.655 Å, rel. 39
- 2.027 Å, rel. 35
- 4.681 Å, rel. 32
- 1.433 Å, rel. 21
- 2.444 Å, rel. 19
- 1.282 Å, rel. 17
- 1.860 Å, rel. 8
- 1.170 Å, rel. 7
- 1.560 Å, rel. 6
- 1.370 Å, rel. 6
- 1.135 Å, rel. 4

Cell and atoms:
abc: 5.7326 5.7326 5.7326
angles: 60.00 60.00 60.00
Atoms (fractional coordinates):
Na1 0.0000 0.0000 0.0000
Eu1 0.5000 0.5000 0.5000
Nb1 0.2500 0.2500 0.2500
Nb2 0.7500 0.7500 0.7500
O1 0.0000 0.0000 0.5000
O2 0.0000 0.5000 0.0000
O3 0.0000 0.5000 0.5000
O4 0.5000 0.0000 0.0000
O5 0.5000 0.0000 0.5000
O6 0.5000 0.5000 0.0000

=====

7.
Diffraction record for NaEuNbSbO6. The X-ray powder pattern is computed, not measured: it uses a structure optimized by DFT (GGA-PBE) and Cu Kα (weighted mean of Kα1 and Kα2).
Intensities are scaled so that the largest is 100.

Principal peaks in the range 2θ from 10° to 90°, by intensity:
- 2.917 Å, rel. 100
- 1.684 Å, rel. 40
- 2.063 Å, rel. 34
- 4.763 Å, rel. 28
- 1.103 Å, rel. 21
- 1.458 Å, rel. 20
- 1.304 Å, rel. 17
- 2.488 Å, rel. 17
- 1.893 Å, rel. 8
- 1.191 Å, rel. 7
- 4.125 Å, rel. 6
- 1.588 Å, rel. 6

Cell and atoms:
abc: 5.8339 5.8339 5.8339
angles: 60.00 60.00 60.00
Atoms (fractional coordinates):
Na1 0.0000 0.0000 0.0000
Eu1 0.5000 0.5000 0.5000
Nb1 0.7500 0.7500 0.7500
Sb1 0.2500 0.2500 0.2500
O1 0.5067 0.5067 0.9933
O2 0.5067 0.9933 0.5067
O3 0.5067 0.9933 0.9933
O4 0.9933 0.5067 0.5067
O5 0.9933 0.5067 0.9933
O6 0.9933 0.9933 0.5067

=====

8.
Diffraction record for NaEuNbSnO6. The X-ray powder pattern is computed, not measured: it uses a structure optimized by DFT (GGA-PBE) and Cu Kα (weighted mean of Kα1 and Kα2).
Intensities are scaled so that the largest is 100.

Principal peaks in the range 2θ from 10° to 90°, by intensity:
- 2.871 Å, rel. 100
- 1.657 Å, rel. 40
- 2.030 Å, rel. 34
- 4.688 Å, rel. 29
- 1.435 Å, rel. 21
- 1.284 Å, rel. 18
- 2.448 Å, rel. 17
- 1.863 Å, rel. 8
- 1.172 Å, rel. 7
- 1.563 Å, rel. 6
- 1.373 Å, rel. 6
- 4.060 Å, rel. 6

Cell and atoms:
abc: 5.7416 5.7416 5.7416
angles: 60.00 60.00 60.00
Atoms (fractional coordinates):
Na1 0.0000 0.0000 0.0000
Eu1 0.5000 0.5000 0.5000
Nb1 0.2500 0.2500 0.2500
Sn1 0.7500 0.7500 0.7500
O1 0.0034 0.0034 0.4966
O2 0.0034 0.4966 0.0034
O3 0.0034 0.4966 0.4966
O4 0.4966 0.0034 0.0034
O5 0.4966 0.0034 0.4966
O6 0.4966 0.4966 0.0034

=====

9.
Diffraction record for Na3EuTi2Nb2O12. The X-ray powder pattern is computed, not measured: it uses a structure optimized by DFT (GGA-PBE) and Cu Kα (weighted mean of Kα1 and Kα2).
Intensities are scaled so that the largest is 100.

Principal peaks in the range 2θ from 10° to 90°, by intensity:
- 2.770 Å, rel. 100
- 1.957 Å, rel. 36
- 2.793 Å, rel. 27
- 2.752 Å, rel. 24
- 4.547 Å, rel. 23
- 7.830 Å, rel. 22
- 4.502 Å, rel. 22
- 3.506 Å, rel. 19
- 1.964 Å, rel. 19
- 1.595 Å, rel. 16
- 3.919 Å, rel. 15
- 5.586 Å, rel. 12

Cell and atoms:
abc: 5.5031 5.5864 7.8304
angles: 89.94 89.96 89.77
Atoms (fractional coordinates):
Na1 0.0000 0.0000 0.0000
Na2 0.0104 0.9540 0.5015
Na3 0.5062 0.4977 0.0010
Eu1 0.5012 0.4418 0.5015
Ti1 0.0008 0.4680 0.2590
Ti2 0.5114 0.9663 0.7453
Nb1 0.0038 0.4744 0.7635
Nb2 0.5068 0.9682 0.2384
O1 0.0651 0.4696 0.0059
O2 0.2217 0.2177 0.2968
O3 0.2256 0.2150 0.7069
O4 0.2929 0.6988 0.2928
O5 0.2961 0.7018 0.7107
O6 0.4320 0.9823 0.9978
O7 0.5685 0.0027 0.5043
O8 0.7089 0.2808 0.7729
O9 0.7117 0.2851 0.2324
O10 0.7854 0.7785 0.7844
O11 0.7916 0.7750 0.2162
O12 0.9273 0.5097 0.4985

=====

10.
Diffraction record for Na3EuTi2Nb2O12. The X-ray powder pattern is computed, not measured: it uses a structure optimized by DFT (GGA-PBE) and Cu Kα (weighted mean of Kα1 and Kα2).
Intensities are scaled so that the largest is 100.

Principal peaks in the range 2θ from 10° to 90°, by intensity:
- 2.774 Å, rel. 100
- 3.821 Å, rel. 44
- 2.808 Å, rel. 27
- 2.766 Å, rel. 25
- 5.209 Å, rel. 23
- 1.599 Å, rel. 23
- 7.813 Å, rel. 23
- 1.615 Å, rel. 21
- 1.953 Å, rel. 19
- 1.973 Å, rel. 18
- 1.968 Å, rel. 18
- 3.519 Å, rel. 18

Cell and atoms:
abc: 5.5327 15.6261 5.6152
angles: 90.00 90.12 90.00
Atoms (fractional coordinates):
Na1 0.0000 0.0000 0.0000
Na2 0.0074 0.2545 0.9563
Na3 0.0074 0.7455 0.9563
Na4 0.5066 0.2545 0.4560
Na5 0.5066 0.7455 0.4560
Na6 0.5135 0.0000 0.4989
Eu1 0.0055 0.5000 0.0077
Eu2 0.5099 0.5000 0.5075
Ti1 0.0116 0.3727 0.4874
Ti2 0.0116 0.6273 0.4874
Ti3 0.5024 0.3726 0.9875
Ti4 0.5024 0.6274 0.9875
Nb1 0.0112 0.1265 0.4874
Nb2 0.0112 0.8735 0.4874
Nb3 0.5008 0.1267 0.9864
Nb4 0.5008 0.8733 0.9864
O1 0.0775 0.0000 0.4447
O2 0.0765 0.5000 0.4409
O3 0.2148 0.1444 0.1717
O4 0.2148 0.8556 0.1717
O5 0.2239 0.3667 0.1726
O6 0.2239 0.6333 0.1726
O7 0.2921 0.3665 0.6728
O8 0.2921 0.6335 0.6728
O9 0.3013 0.1443 0.6710
O10 0.3013 0.8557 0.6710
O11 0.4385 0.0000 0.9445
O12 0.4391 0.5000 0.9407
O13 0.5731 0.2534 0.9731
O14 0.5731 0.7466 0.9731
O15 0.7195 0.1083 0.2493
O16 0.7195 0.8917 0.2493
O17 0.7248 0.4001 0.2387
O18 0.7248 0.5999 0.2387
O19 0.7913 0.3999 0.7383
O20 0.7913 0.6001 0.7383
O21 0.7973 0.1085 0.7501
O22 0.7973 0.8915 0.7501
O23 0.9425 0.2532 0.4729
O24 0.9425 0.7468 0.4729